# 1
Calculated PXRD pattern
Compound: Na3TeF7
Radiation: Cu Kα (weighted mean of Kα1 and Kα2)
Structure: a crystal structure in Alexandria, relaxed with PBE

Peak list (10 most intense, 2θ = 10–90°, by angle)
hkl, 2θ/deg, d_spacing, I (rel.)
0 0 1, 16.73, 5.300, 51
1 1 0, 17.67, 5.019, 100
1 1 -1, 18.29, 4.850, 83
2 0 0, 27.52, 3.242, 30
0 2 1, 28.11, 3.174, 85
2 0 -2, 29.13, 3.065, 42
0 4 0, 45.81, 1.981, 36
4 0 -2, 46.32, 1.960, 59
2 2 -3, 48.38, 1.881, 33
2 4 0, 54.21, 1.692, 24

Atomic structure:
a = 7.8461 Å, b = 7.9276 Å, c = 6.4142 Å
α = 90.00°, β = 124.28°, γ = 90.00°
Space group Cm (No. 8)
Inequivalent atoms, fractional coordinates:
Na (0.0000, 0.0000, 0.0000) [2 per cell]
Na (0.0164, 0.2636, 0.5655) [4 per cell]
Te (0.4655, 0.0000, 0.0316) [2 per cell]
F (0.1101, 0.0000, 0.7399) [2 per cell]
F (0.1618, 0.3265, 0.3016) [4 per cell]
F (0.1703, 0.5000, 0.9244) [2 per cell]
F (0.3562, 0.0000, 0.2871) [2 per cell]
F (0.3844, 0.2339, 0.8175) [4 per cell]



# 2
Calculated PXRD pattern
Compound: Na3TeF8
Radiation: Cu Kα (weighted mean of Kα1 and Kα2)
Structure: a crystal structure in Alexandria, relaxed with PBE

Peak list (10 most intense, 2θ = 10–90°, by angle)
hkl, 2θ/deg, d_spacing, I (rel.)
1 0 0, 16.43, 5.396, 100
1 1 0, 23.31, 3.815, 61
1 1 1, 28.66, 3.115, 90
2 1 0, 37.26, 2.413, 21
2 1 1, 40.97, 2.203, 24
2 2 0, 47.67, 1.908, 91
2 2 1, 50.76, 1.799, 20
3 1 1, 56.57, 1.627, 37
3 2 0, 62.01, 1.497, 18
4 2 2, 88.85, 1.101, 21

Atomic structure:
a = 5.3957 Å, b = 5.3957 Å, c = 5.3957 Å
α = 90.00°, β = 90.00°, γ = 90.00°
Space group Pm-3m (No. 221)
Inequivalent atoms, fractional coordinates:
Na (0.0000, 0.0000, 0.5000) [3 per cell]
Te (0.5000, 0.5000, 0.5000) [1 per cell]
F (0.2726, 0.2726, 0.2726) [8 per cell]



# 3
Calculated PXRD pattern
Compound: NaTh2F7
Radiation: Cu Kα (weighted mean of Kα1 and Kα2)
Structure: a crystal structure in Alexandria, relaxed with PBE

Peak list (10 most intense, 2θ = 10–90°, by angle)
hkl, 2θ/deg, d_spacing, I (rel.)
0 0 2, 15.75, 5.628, 96
1 1 1, 24.78, 3.593, 100
0 1 1, 25.21, 3.533, 65
1 1 -1, 28.01, 3.186, 37
0 1 -2, 30.92, 2.892, 44
0 1 3, 32.62, 2.745, 43
2 1 1, 43.37, 2.086, 57
1 1 -4, 45.20, 2.006, 42
1 2 -1, 46.42, 1.956, 38
1 0 -5, 50.03, 1.823, 35

Atomic structure:
a = 4.1709 Å, b = 4.1722 Å, c = 11.5057 Å
α = 79.67°, β = 79.64°, γ = 60.03°
Space group P1 (No. 1)
Inequivalent atoms, fractional coordinates:
Na (0.0000, 0.0000, 0.0000) [1 per cell]
Th (0.4295, 0.4288, 0.7068) [1 per cell]
Th (0.5686, 0.5724, 0.2932) [1 per cell]
F (0.0670, 0.0666, 0.7953) [1 per cell]
F (0.2307, 0.2344, 0.3068) [1 per cell]
F (0.3631, 0.3634, 0.9073) [1 per cell]
F (0.4988, 0.5012, 0.5000) [1 per cell]
F (0.6351, 0.6375, 0.0928) [1 per cell]
F (0.7674, 0.7668, 0.6932) [1 per cell]
F (0.9313, 0.9343, 0.2047) [1 per cell]



# 4
Calculated PXRD pattern
Compound: Na3TiF8
Radiation: Cu Kα (weighted mean of Kα1 and Kα2)
Structure: a crystal structure in Alexandria, relaxed with PBE

Peak list (10 most intense, 2θ = 10–90°, by angle)
hkl, 2θ/deg, d_spacing, I (rel.)
1 0 0, 16.71, 5.306, 41
1 1 0, 23.71, 3.752, 10
1 1 1, 29.15, 3.064, 70
2 2 0, 48.53, 1.876, 100
3 0 0, 51.68, 1.769, 7
3 1 1, 57.61, 1.600, 25
3 2 0, 63.18, 1.472, 10
3 2 1, 65.86, 1.418, 3
4 0 0, 71.06, 1.327, 11
3 3 1, 78.59, 1.217, 10

Atomic structure:
a = 5.3063 Å, b = 5.3063 Å, c = 5.3063 Å
α = 90.00°, β = 90.00°, γ = 90.00°
Space group Pm-3m (No. 221)
Inequivalent atoms, fractional coordinates:
Na (0.0000, 0.0000, 0.5000) [3 per cell]
Ti (0.5000, 0.5000, 0.5000) [1 per cell]
F (0.2783, 0.2783, 0.2783) [8 per cell]



# 5
Calculated PXRD pattern
Compound: Na3TiF6
Radiation: Cu Kα (weighted mean of Kα1 and Kα2)
Structure: a crystal structure in Alexandria, relaxed with PBE

Peak list (10 most intense, 2θ = 10–90°, by angle)
hkl, 2θ/deg, d_spacing, I (rel.)
0 0 2, 16.58, 5.345, 32
1 1 1, 18.77, 4.728, 40
0 2 0, 22.18, 4.007, 18
0 2 2, 27.83, 3.206, 28
2 0 2, 30.54, 2.928, 100
2 0 4, 42.57, 2.124, 24
0 4 0, 45.26, 2.004, 31
2 2 4, 48.51, 1.877, 45
4 0 0, 52.29, 1.750, 15
2 4 2, 55.58, 1.653, 30

Atomic structure:
a = 6.9980 Å, b = 8.0142 Å, c = 10.6905 Å
α = 90.00°, β = 90.00°, γ = 90.00°
Space group Fmmm (No. 69)
Inequivalent atoms, fractional coordinates:
Na (0.0000, 0.0000, 0.0000) [4 per cell]
Na (0.2500, 0.2500, 0.2500) [8 per cell]
Ti (0.0000, 0.0000, 0.5000) [4 per cell]
F (0.0000, 0.2368, 0.5000) [8 per cell]
F (0.2153, 0.0000, 0.3714) [16 per cell]



# 6
Calculated PXRD pattern
Compound: NaTi3F10
Radiation: Cu Kα (weighted mean of Kα1 and Kα2)
Structure: a crystal structure in Alexandria, relaxed with PBE

Peak list (10 most intense, 2θ = 10–90°, by angle)
hkl, 2θ/deg, d_spacing, I (rel.)
1 1 1, 14.37, 6.162, 15
0 4 0, 22.31, 3.986, 60
2 0 2, 26.68, 3.341, 100
0 8 0, 45.52, 1.993, 23
6 0 2, 47.11, 1.929, 36
6 4 2, 52.71, 1.736, 10
2 8 2, 53.54, 1.712, 24
8 0 0, 54.96, 1.671, 19
6 8 2, 67.58, 1.386, 20
8 8 0, 74.05, 1.280, 13

Atomic structure:
a = 13.3725 Å, b = 15.9426 Å, c = 7.7124 Å
α = 90.00°, β = 90.00°, γ = 90.00°
Space group Fdd2 (No. 43)
Inequivalent atoms, fractional coordinates:
Na (0.0000, 0.0000, 0.0000) [8 per cell]
Ti (0.0000, 0.0000, 0.4617) [8 per cell]
Ti (0.0001, 0.2498, 0.4585) [16 per cell]
F (0.0005, 0.1256, 0.4605) [16 per cell]
F (0.0021, 0.3665, 0.4561) [16 per cell]
F (0.0440, 0.2488, 0.2084) [16 per cell]
F (0.1029, 0.4972, 0.7722) [16 per cell]
F (0.1070, 0.0023, 0.6373) [16 per cell]



# 7
Calculated PXRD pattern
Compound: Na3TiF8
Radiation: Cu Kα (weighted mean of Kα1 and Kα2)
Structure: a crystal structure in Alexandria, relaxed with PBE

Peak list (10 most intense, 2θ = 10–90°, by angle)
hkl, 2θ/deg, d_spacing, I (rel.)
1 1 1, 19.12, 4.642, 70
1 3 0, 22.70, 3.917, 79
0 4 0, 25.60, 3.480, 38
0 0 2, 26.75, 3.332, 100
2 2 1, 30.73, 2.910, 99
2 0 2, 36.50, 2.462, 56
2 6 0, 46.37, 1.958, 58
2 2 3, 49.80, 1.831, 68
2 6 2, 54.34, 1.688, 73
0 0 4, 55.12, 1.666, 45

Atomic structure:
a = 7.3043 Å, b = 13.9201 Å, c = 6.6647 Å
α = 90.00°, β = 90.00°, γ = 90.00°
Space group Cmcm (No. 63)
Inequivalent atoms, fractional coordinates:
Na (0.0000, 0.1736, 0.2500) [4 per cell]
Na (0.2494, 0.0948, 0.7500) [8 per cell]
Ti (0.0000, 0.3467, 0.7500) [4 per cell]
F (0.0000, 0.0709, 0.5297) [8 per cell]
F (0.0000, 0.3456, 0.0364) [8 per cell]
F (0.1821, 0.4408, 0.7500) [8 per cell]
F (0.1893, 0.2534, 0.7500) [8 per cell]



# 8
Calculated PXRD pattern
Compound: Na5Ti3F14
Radiation: Cu Kα (weighted mean of Kα1 and Kα2)
Structure: a crystal structure in Alexandria, relaxed with PBE

Peak list (10 most intense, 2θ = 10–90°, by angle)
hkl, 2θ/deg, d_spacing, I (rel.)
1 0 1, 14.42, 6.144, 22
0 0 2, 17.01, 5.212, 29
2 0 0, 23.39, 3.803, 25
2 1 1, 27.59, 3.234, 19
2 0 2, 29.07, 3.072, 100
2 1 3, 36.98, 2.431, 27
4 0 0, 47.84, 1.901, 32
2 2 4, 48.65, 1.871, 44
4 2 2, 56.96, 1.617, 35
2 0 6, 58.40, 1.580, 19

Atomic structure:
a = 7.6055 Å, b = 7.6055 Å, c = 10.4244 Å
α = 90.00°, β = 90.00°, γ = 90.00°
Space group P4/mnc (No. 128)
Inequivalent atoms, fractional coordinates:
Na (0.0000, 0.0000, 0.0000) [2 per cell]
Na (0.2261, 0.2739, 0.2500) [8 per cell]
Ti (0.0000, 0.0000, 0.5000) [2 per cell]
Ti (0.0000, 0.5000, 0.0000) [4 per cell]
F (0.0000, 0.0000, 0.3134) [4 per cell]
F (0.0350, 0.6888, 0.1281) [16 per cell]
F (0.0745, 0.2487, 0.5000) [8 per cell]